Theoretical XRD peak list of Tb3Ge2Pb5 for Cu Kα (λ = 1.5418 Å), from a structure optimized by DFT (PBE).
Lines closer than 0.1° are merged.

Structure:
```
data_Tb3Ge2Pb5
_chemical_formula_sum 'Tb6 Ge4 Pb10'
_cell_length_a 4.3486
_cell_length_b 26.8043
_cell_length_c 4.5914
_cell_angle_alpha 90.00
_cell_angle_beta 90.00
_cell_angle_gamma 90.00
_space_group_name_H-M_alt 'C m m m'
_space_group_IT_number 65
_space_group_name_Hall '-C 2 2'
loop_
_atom_site_label
_atom_site_fract_x
_atom_site_fract_y
_atom_site_fract_z
_atom_site_occupancy
Tb1 0.0000 0.0000 0.0000 1
Tb2 0.0000 0.3036 0.5000 1
Ge1 0.0000 0.2180 0.0000 1
Pb1 0.0000 0.1005 0.5000 1
Pb2 0.0000 0.3985 0.0000 1
Pb3 0.0000 0.5000 0.5000 1
```

The 8 most intense peaks (2θ from 10° to 90°), in order of rising 2θ:
2θ/deg	d/Å	intensity
32.9	2.721	100
33.4	2.680	22
39.2	2.296	16
41.5	2.174	14
52.5	1.744	12
59.4	1.555	15
67.1	1.394	13
70.3	1.338	12



Theoretical XRD peak list of TbTmGe2Pb2 for Cu Kα (λ = 1.5418 Å), from a structure optimized by DFT (PBE).
Lines closer than 0.1° are merged.

Structure:
```
data_TbTmGe2Pb2
_chemical_formula_sum 'Tb2 Tm2 Ge4 Pb4'
_cell_length_a 4.0870
_cell_length_b 4.4182
_cell_length_c 16.4939
_cell_angle_alpha 90.00
_cell_angle_beta 90.00
_cell_angle_gamma 90.00
_space_group_name_H-M_alt 'A m m 2'
_space_group_IT_number 38
loop_
_space_group_symop_operation_xyz
'x,y,z'
'-x,-y,z'
'-x,y,z'
'x,-y,z'
'x,y+1/2,z+1/2'
'-x,-y+1/2,z+1/2'
'-x,y+1/2,z+1/2'
'x,-y+1/2,z+1/2'
loop_
_atom_site_label
_atom_site_fract_x
_atom_site_fract_y
_atom_site_fract_z
_atom_site_occupancy
Tb1 0.0000 0.0000 0.0000 1
Tm1 0.5000 0.0000 0.8206 1
Ge1 0.0000 0.0000 0.3536 1
Ge2 0.5000 0.0000 0.4616 1
Pb1 0.0000 0.0000 0.6479 1
Pb2 0.5000 0.0000 0.1753 1
```

The 8 most intense peaks (2θ from 10° to 90°), in order of rising 2θ:
2θ/deg	d/Å	intensity
24.3	3.662	12
32.6	2.749	21
33.9	2.643	15
34.0	2.634	100
40.8	2.209	17
44.3	2.043	13
53.2	1.722	11
70.0	1.344	15



Theoretical XRD peak list of ZrGePb for Cu Kα (λ = 1.5418 Å), from a structure optimized by DFT (PBE).
Lines closer than 0.1° are merged.

Structure:
```
data_ZrGePb
_chemical_formula_sum 'Zr4 Ge4 Pb4'
_cell_length_a 6.8443
_cell_length_b 6.8443
_cell_length_c 6.8443
_cell_angle_alpha 90.00
_cell_angle_beta 90.00
_cell_angle_gamma 90.00
_space_group_name_H-M_alt 'F -4 3 m'
_space_group_IT_number 216
_space_group_name_Hall 'F -4 2 3'
loop_
_atom_site_label
_atom_site_fract_x
_atom_site_fract_y
_atom_site_fract_z
_atom_site_occupancy
Zr1 0.0000 0.0000 0.0000 1
Ge1 0.2500 0.2500 0.7500 1
Pb1 0.2500 0.2500 0.2500 1
```

The 8 most intense peaks (2θ from 10° to 90°), in order of rising 2θ:
2θ/deg	d/Å	intensity
22.5	3.952	43
26.0	3.422	31
37.2	2.420	100
43.9	2.064	23
53.6	1.711	17
60.5	1.530	13
67.0	1.397	36
79.2	1.210	11



Theoretical XRD peak list of GePd9 for Cu Kα (λ = 1.5418 Å), from a structure optimized by DFT (PBE).
Lines closer than 0.1° are merged.

Structure:
```
data_GePd9
_chemical_formula_sum 'Ge2 Pd18'
_cell_length_a 2.8357
_cell_length_b 2.8357
_cell_length_c 51.0870
_cell_angle_alpha 90.00
_cell_angle_beta 90.00
_cell_angle_gamma 90.00
_space_group_name_H-M_alt 'P 4/n m m'
_space_group_IT_number 129
loop_
_space_group_symop_operation_xyz
'x,y,z'
'-x,-y,-z'
'-y+1/2,x,z'
'y+1/2,-x,-z'
'-x+1/2,-y+1/2,z'
'x+1/2,y+1/2,-z'
'y,-x+1/2,z'
'-y,x+1/2,-z'
'x+1/2,-y,-z'
'-x+1/2,y,z'
'-y,-x,-z'
'y,x,z'
'-x,y+1/2,-z'
'x,-y+1/2,z'
'y+1/2,x+1/2,-z'
'-y+1/2,-x+1/2,z'
loop_
_atom_site_label
_atom_site_fract_x
_atom_site_fract_y
_atom_site_fract_z
_atom_site_occupancy
Ge1 0.2500 0.2500 0.1437 1
Pd1 0.2500 0.2500 0.2174 1
Pd2 0.2500 0.2500 0.2936 1
Pd3 0.2500 0.2500 0.3690 1
Pd4 0.2500 0.2500 0.4440 1
Pd5 0.2500 0.2500 0.5187 1
Pd6 0.2500 0.2500 0.5934 1
Pd7 0.2500 0.2500 0.6687 1
Pd8 0.2500 0.2500 0.7443 1
Pd9 0.2500 0.2500 0.8219 1
```

The 8 most intense peaks (2θ from 10° to 90°), in order of rising 2θ:
2θ/deg	d/Å	intensity
39.2	2.300	100
40.3	2.239	40
45.2	2.005	47
65.9	1.418	15
66.6	1.403	13
68.1	1.376	16
79.4	1.207	24
82.9	1.165	12



Theoretical XRD peak list of GePd15 for Cu Kα (λ = 1.5418 Å), from a structure optimized by DFT (PBE).
Lines closer than 0.1° are merged.

Structure:
```
data_GePd15
_chemical_formula_sum 'Ge2 Pd30'
_cell_length_a 3.9212
_cell_length_b 3.9194
_cell_length_c 45.4137
_cell_angle_alpha 90.00
_cell_angle_beta 90.00
_cell_angle_gamma 90.00
_space_group_name_H-M_alt 'P m m a'
_space_group_IT_number 51
loop_
_space_group_symop_operation_xyz
'x,y,z'
'-x,-y,-z'
'-x+1/2,-y,z'
'x+1/2,y,-z'
'x+1/2,-y,-z'
'-x+1/2,y,z'
'-x,y,-z'
'x,-y,z'
loop_
_atom_site_label
_atom_site_fract_x
_atom_site_fract_y
_atom_site_fract_z
_atom_site_occupancy
Ge1 0.2500 0.0000 0.1754 1
Pd1 0.2500 0.0000 0.2580 1
Pd2 0.2500 0.0000 0.3458 1
Pd3 0.2500 0.0000 0.4340 1
Pd4 0.2500 0.0000 0.5220 1
Pd5 0.2500 0.0000 0.6101 1
Pd6 0.2500 0.0000 0.6982 1
Pd7 0.2500 0.0000 0.7880 1
Pd8 0.2500 0.5000 0.2119 1
Pd9 0.2500 0.5000 0.3018 1
Pd10 0.2500 0.5000 0.3899 1
Pd11 0.2500 0.5000 0.4779 1
Pd12 0.2500 0.5000 0.5662 1
Pd13 0.2500 0.5000 0.6538 1
Pd14 0.2500 0.5000 0.7433 1
Pd15 0.2500 0.5000 0.8329 1
```

The 8 most intense peaks (2θ from 10° to 90°), in order of rising 2θ:
2θ/deg	d/Å	intensity
39.1	2.301	100
40.3	2.236	53
46.0	1.975	15
46.3	1.960	48
67.3	1.391	19
79.7	1.203	14
81.0	1.187	23
81.7	1.178	13